Starting from a DFT-relaxed cell (PBE+U, Alexandria), the powder diffractogram of BaCeCr2O8 was simulated for Cu Kα (λ = 1.5418 Å).
No peak broadening, texture or thermal motion is included.

Structure:
```
data_BaCeCr2O8
_symmetry_space_group_name_H-M 'P 1'
_symmetry_Int_Tables_number 1
_symmetry_space_group_name_Hall 'P 1'
_cell_length_a 5.746
_cell_length_b 5.746
_cell_length_c 7.697
_cell_angle_alpha 90.00
_cell_angle_beta 90.00
_cell_angle_gamma 120.00
loop_
_atom_site_label
_atom_site_type_symbol
_atom_site_fract_x
_atom_site_fract_y
_atom_site_fract_z
_atom_site_occupancy
Ba1 Ba 0.000 0.000 0.000 1
Ce1 Ce 0.000 0.000 0.500 1
Cr1 Cr 0.333 0.667 0.771 1
Cr2 Cr 0.667 0.333 0.229 1
O1 O 0.167 0.830 0.697 1
O2 O 0.170 0.337 0.697 1
O3 O 0.333 0.667 0.986 1
O4 O 0.337 0.167 0.303 1
O5 O 0.663 0.833 0.697 1
O6 O 0.667 0.333 0.014 1
O7 O 0.830 0.663 0.303 1
O8 O 0.833 0.170 0.303 1
```

Most intense lines, 2θ from 10° to 90°, low angle first:
| two_theta | I (rel.) |
| --- | --- |
| 17.83 | 88 |
| 21.26 | 47 |
| 29.34 | 100 |
| 31.13 | 71 |
| 43.30 | 49 |
| 54.29 | 35 |